No. 1
Diffraction record for Ca8Mo7O20. The X-ray powder pattern is calculated, not measured: it uses a structure optimized by DFT (GGA+U) and Cu Kα (weighted mean of Kα1 and Kα2).
Neutral-atom scattering factors, no anomalous dispersion.

Top 10 peaks for 15 to 90 degrees two-theta, by angle:
2θ (°)  Rel. int.
31.90  100
32.74  21
38.24  18
43.80  15
44.47  45
46.99  26
48.84  13
53.51  14
56.31  17
64.69  12

Crystal structure
Cell lengths 8.644, 8.644, 8.644 Å; angles 119.95, 119.95, 90.08 degrees
Atoms (fractional coordinates):
Ca: 0.084 0.857 0.637
Ca: 0.143 0.780 0.227
Ca: 0.220 0.447 0.363
Ca: 0.447 0.084 0.227
Ca: 0.553 0.916 0.773
Ca: 0.780 0.553 0.637
Ca: 0.857 0.220 0.773
Ca: 0.916 0.143 0.363
Mo: 0.000 0.000 0.000
Mo: 0.306 0.624 0.930
Mo: 0.341 0.341 0.000
Mo: 0.376 0.306 0.682
Mo: 0.624 0.694 0.318
Mo: 0.659 0.659 0.000
Mo: 0.694 0.376 0.070
O: 0.115 0.778 0.893
O: 0.150 0.481 0.965
O: 0.171 0.441 0.612
O: 0.172 0.172 0.000
O: 0.185 0.150 0.668
O: 0.222 0.115 0.336
O: 0.250 0.750 0.500
O: 0.441 0.829 0.270
O: 0.481 0.517 0.332
O: 0.483 0.815 0.965
O: 0.517 0.185 0.035
O: 0.519 0.483 0.668
O: 0.559 0.171 0.730
O: 0.750 0.250 0.500
O: 0.778 0.885 0.664
O: 0.815 0.850 0.332
O: 0.828 0.828 0.000
O: 0.829 0.559 0.388
O: 0.850 0.519 0.035
O: 0.885 0.222 0.107


No. 2
Diffraction record for CaMo2P2O10. The X-ray powder pattern is calculated, not measured: it uses a structure optimized by DFT (GGA+U) and Cu Kα (weighted mean of Kα1 and Kα2).
Neutral-atom scattering factors, no anomalous dispersion.

Top 10 peaks for 15 to 90 degrees two-theta, by angle:
2θ (°)  Rel. int.
21.53  31
22.02  19
25.42  55
27.72  20
29.91  100
30.99  59
43.86  25
51.12  18
52.22  18
53.49  18

Crystal structure
Cell lengths 10.126, 8.915, 7.191 Å; angles 77.09, 59.11, 43.80 degrees
Atoms (fractional coordinates):
Ca: 0.125 0.125 0.125
Ca: 0.875 0.875 0.875
Mo: 0.000 0.500 0.500
Mo: 0.500 0.000 0.500
Mo: 0.500 0.500 0.000
Mo: 0.500 0.500 0.500
P: 0.080 0.080 0.670
P: 0.330 0.330 0.920
P: 0.670 0.670 0.080
P: 0.920 0.920 0.330
O: 0.060 0.213 0.485
O: 0.127 0.417 0.152
O: 0.152 0.803 0.127
O: 0.197 0.848 0.583
O: 0.213 0.060 0.742
O: 0.258 0.515 0.787
O: 0.291 0.291 0.459
O: 0.417 0.127 0.803
O: 0.459 0.459 0.291
O: 0.485 0.742 0.060
O: 0.515 0.258 0.940
O: 0.541 0.541 0.709
O: 0.583 0.873 0.197
O: 0.709 0.709 0.541
O: 0.742 0.485 0.213
O: 0.787 0.940 0.258
O: 0.803 0.152 0.417
O: 0.848 0.197 0.873
O: 0.873 0.583 0.848
O: 0.940 0.787 0.515


No. 3
Diffraction record for CaPrMo2O6. The X-ray powder pattern is calculated, not measured: it uses a structure optimized by DFT (GGA+U) and Cu Kα (weighted mean of Kα1 and Kα2).
Neutral-atom scattering factors, no anomalous dispersion.

Top 10 peaks for 15 to 90 degrees two-theta, by angle:
2θ (°)  Rel. int.
18.68  25
30.31  45
31.27  99
31.45  100
31.97  45
44.63  45
45.25  27
55.44  21
56.42  23
56.74  35

Crystal structure
Cell lengths 5.599, 5.897, 9.742 Å; angles 90.00, 124.63, 90.00 degrees
Atoms (fractional coordinates):
Ca: 0.000 0.194 0.000
Ca: 0.000 0.806 0.500
Pr: 0.535 0.308 0.499
Pr: 0.535 0.692 0.999
Mo: 0.268 0.248 0.750
Mo: 0.268 0.752 0.250
Mo: 0.766 0.246 0.249
Mo: 0.766 0.754 0.749
O: 0.008 0.446 0.197
O: 0.008 0.554 0.697
O: 0.119 0.202 0.492
O: 0.119 0.798 0.992
O: 0.414 0.294 0.007
O: 0.414 0.706 0.507
O: 0.523 0.054 0.302
O: 0.523 0.946 0.802
O: 0.634 0.454 0.812
O: 0.634 0.546 0.312
O: 0.899 0.049 0.687
O: 0.899 0.951 0.187


No. 4
Diffraction record for CaSm4Mo4O14. The X-ray powder pattern is calculated, not measured: it uses a structure optimized by DFT (GGA+U) and Cu Kα (weighted mean of Kα1 and Kα2).
Neutral-atom scattering factors, no anomalous dispersion.

Top 10 peaks for 15 to 90 degrees two-theta, by angle:
2θ (°)  Rel. int.
28.13  49
28.40  100
28.81  52
32.91  37
33.02  18
46.92  16
47.14  16
47.33  16
47.75  34
56.20  20

Crystal structure
Cell lengths 7.616, 7.623, 7.685 Å; angles 60.93, 60.82, 60.80 degrees
Atoms (fractional coordinates):
Ca: 0.000 0.000 0.000
Sm: 0.363 0.861 0.371
Sm: 0.386 0.365 0.342
Sm: 0.404 0.323 0.844
Sm: 0.882 0.404 0.300
Mo: 0.410 0.846 0.835
Mo: 0.866 0.837 0.394
Mo: 0.873 0.400 0.827
Mo: 0.878 0.862 0.832
O: 0.208 0.811 0.756
O: 0.226 0.196 0.761
O: 0.227 0.767 0.189
O: 0.258 0.235 0.213
O: 0.507 0.490 0.478
O: 0.537 0.947 0.511
O: 0.542 0.535 0.929
O: 0.556 0.939 0.916
O: 0.779 0.184 0.793
O: 0.785 0.220 0.194
O: 0.790 0.781 0.175
O: 0.973 0.508 0.499
O: 0.979 0.923 0.527
O: 0.980 0.542 0.916


No. 5
Diffraction record for CaSm4Mo4O14. The X-ray powder pattern is calculated, not measured: it uses a structure optimized by DFT (GGA+U) and Cu Kα (weighted mean of Kα1 and Kα2).
Neutral-atom scattering factors, no anomalous dispersion.

Top 10 peaks for 15 to 90 degrees two-theta, by angle:
2θ (°)  Rel. int.
28.08  33
28.69  100
33.07  51
47.07  30
47.76  13
47.90  26
55.71  10
56.32  9
56.45  17
56.70  9

Crystal structure
Cell lengths 7.596, 7.596, 7.717 Å; angles 119.40, 119.40, 60.19 degrees
Atoms (fractional coordinates):
Ca: 0.000 0.000 0.000
Sm: 0.255 0.727 0.704
Sm: 0.722 0.722 0.700
Sm: 0.727 0.255 0.704
Sm: 0.746 0.746 0.242
Mo: 0.254 0.254 0.773
Mo: 0.256 0.747 0.266
Mo: 0.259 0.259 0.274
Mo: 0.747 0.256 0.266
O: 0.147 0.147 0.918
O: 0.155 0.607 0.942
O: 0.156 0.596 0.344
O: 0.347 0.902 0.593
O: 0.353 0.353 0.613
O: 0.354 0.919 0.210
O: 0.584 0.584 0.339
O: 0.596 0.156 0.344
O: 0.607 0.155 0.942
O: 0.626 0.626 0.875
O: 0.872 0.872 0.629
O: 0.902 0.347 0.593
O: 0.919 0.354 0.210
O: 0.931 0.931 0.217


No. 6
Diffraction record for CaY5Mo2O12. The X-ray powder pattern is calculated, not measured: it uses a structure optimized by DFT (GGA+U) and Cu Kα (weighted mean of Kα1 and Kα2).
Neutral-atom scattering factors, no anomalous dispersion.

Top 10 peaks for 15 to 90 degrees two-theta, by angle:
2θ (°)  Rel. int.
21.59  23
26.41  65
26.71  65
27.83  100
32.12  49
32.34  33
32.53  44
38.97  56
44.76  47
47.93  39

Crystal structure
Cell lengths 5.987, 6.980, 7.592 Å; angles 105.07, 90.17, 114.69 degrees
Atoms (fractional coordinates):
Ca: 0.000 0.000 0.000
Y: 0.197 0.352 0.367
Y: 0.468 0.929 0.005
Y: 0.490 0.948 0.483
Y: 0.853 0.681 0.646
Y: 0.859 0.685 0.210
Mo: 0.419 0.339 0.844
Mo: 0.931 0.336 0.843
O: 0.069 0.683 0.933
O: 0.086 0.641 0.422
O: 0.188 0.357 0.057
O: 0.198 0.356 0.655
O: 0.260 0.001 0.764
O: 0.262 0.018 0.260
O: 0.581 0.637 0.415
O: 0.614 0.668 0.938
O: 0.659 0.318 0.035
O: 0.664 0.322 0.639
O: 0.744 0.979 0.757
O: 0.777 0.016 0.259


No. 7
Diffraction record for CaY5Mo2O12. The X-ray powder pattern is calculated, not measured: it uses a structure optimized by DFT (GGA+U) and Cu Kα (weighted mean of Kα1 and Kα2).
Neutral-atom scattering factors, no anomalous dispersion.

Top 10 peaks for 15 to 90 degrees two-theta, by angle:
2θ (°)  Rel. int.
21.87  100
22.17  49
24.90  49
28.39  83
28.53  79
33.48  62
33.78  75
36.63  50
51.02  52
51.28  55

Crystal structure
Cell lengths 6.091, 6.558, 8.917 Å; angles 107.29, 90.65, 117.16 degrees
Atoms (fractional coordinates):
Ca: 0.000 0.000 0.000
Y: 0.063 0.143 0.677
Y: 0.101 0.215 0.332
Y: 0.441 0.892 0.776
Y: 0.446 0.909 0.375
Y: 0.757 0.534 0.605
Mo: 0.011 0.534 0.031
Mo: 0.523 0.537 0.036
O: 0.137 0.803 0.582
O: 0.186 0.917 0.193
O: 0.237 0.475 0.192
O: 0.293 0.581 0.868
O: 0.322 0.174 0.880
O: 0.364 0.237 0.510
O: 0.636 0.799 0.574
O: 0.700 0.904 0.180
O: 0.713 0.455 0.154
O: 0.794 0.603 0.869
O: 0.838 0.160 0.874
O: 0.853 0.235 0.504


No. 8
Diffraction record for CaY5Mo2O12. The X-ray powder pattern is calculated, not measured: it uses a structure optimized by DFT (GGA+U) and Cu Kα (weighted mean of Kα1 and Kα2).
Neutral-atom scattering factors, no anomalous dispersion.

Top 10 peaks for 15 to 90 degrees two-theta, by angle:
2θ (°)  Rel. int.
15.87  41
25.39  61
26.69  61
27.97  53
28.31  56
32.11  100
32.53  52
39.35  27
43.34  56
48.64  44

Crystal structure
Cell lengths 5.974, 7.054, 7.488 Å; angles 105.23, 90.76, 111.93 degrees
Atoms (fractional coordinates):
Ca: 0.000 0.000 0.000
Y: 0.142 0.339 0.819
Y: 0.146 0.336 0.339
Y: 0.523 0.078 0.495
Y: 0.535 0.092 0.025
Y: 0.746 0.634 0.167
Mo: 0.074 0.695 0.664
Mo: 0.594 0.690 0.666
O: 0.254 0.038 0.766
O: 0.271 0.047 0.247
O: 0.343 0.707 0.470
O: 0.345 0.698 0.861
O: 0.394 0.376 0.088
O: 0.405 0.368 0.591
O: 0.742 0.987 0.224
O: 0.746 0.019 0.769
O: 0.813 0.687 0.466
O: 0.824 0.663 0.872
O: 0.906 0.370 0.099
O: 0.917 0.347 0.574


No. 9
Diffraction record for CaY5Mo2O12. The X-ray powder pattern is calculated, not measured: it uses a structure optimized by DFT (GGA+U) and Cu Kα (weighted mean of Kα1 and Kα2).
Neutral-atom scattering factors, no anomalous dispersion.

Top 10 peaks for 15 to 90 degrees two-theta, by angle:
2θ (°)  Rel. int.
24.71  26
26.69  84
27.98  100
29.59  48
32.41  56
32.67  31
34.12  27
45.05  21
48.32  38
54.45  30

Crystal structure
Cell lengths 6.986, 6.986, 7.535 Å; angles 105.28, 105.28, 50.75 degrees
Atoms (fractional coordinates):
Ca: 0.000 0.000 0.000
Y: 0.200 0.200 0.363
Y: 0.209 0.209 0.852
Y: 0.500 0.500 0.000
Y: 0.791 0.791 0.148
Y: 0.800 0.800 0.637
Mo: 0.285 0.715 0.500
Mo: 0.715 0.285 0.500
O: 0.004 0.004 0.311
O: 0.062 0.595 0.403
O: 0.095 0.611 0.935
O: 0.389 0.905 0.065
O: 0.405 0.938 0.597
O: 0.489 0.489 0.706
O: 0.511 0.511 0.294
O: 0.595 0.062 0.403
O: 0.611 0.095 0.935
O: 0.905 0.389 0.065
O: 0.938 0.405 0.597
O: 0.996 0.996 0.689


No. 10
Diffraction record for Ca5WN4O2. The X-ray powder pattern is calculated, not measured: it uses a structure optimized by DFT (GGA+U) and Cu Kα (weighted mean of Kα1 and Kα2).
Neutral-atom scattering factors, no anomalous dispersion.

Top 10 peaks for 15 to 90 degrees two-theta, by angle:
2θ (°)  Rel. int.
16.68  83
17.67  39
19.47  61
24.65  31
31.48  51
31.94  92
36.27  35
36.72  100
53.03  37
53.97  30

Crystal structure
Cell lengths 6.148, 6.797, 8.527 Å; angles 90.00, 90.82, 90.00 degrees
Atoms (fractional coordinates):
Ca: 0.000 0.000 0.000
Ca: 0.000 0.500 0.000
Ca: 0.194 0.250 0.330
Ca: 0.271 0.011 0.667
Ca: 0.271 0.489 0.667
Ca: 0.498 0.750 0.983
Ca: 0.502 0.250 0.017
Ca: 0.729 0.511 0.333
Ca: 0.729 0.989 0.333
Ca: 0.806 0.750 0.670
W: 0.279 0.750 0.323
W: 0.721 0.250 0.677
N: 0.022 0.750 0.444
N: 0.333 0.524 0.191
N: 0.333 0.976 0.191
N: 0.498 0.250 0.523
N: 0.502 0.750 0.477
N: 0.667 0.024 0.809
N: 0.667 0.476 0.809
N: 0.978 0.250 0.556
O: 0.153 0.750 0.828
O: 0.195 0.250 0.874
O: 0.805 0.750 0.126
O: 0.847 0.250 0.172